Record 1
For Mg4In3Hg2, a structure optimized by DFT (GGA-PBE) gives the calculated X-ray powder pattern in this record (Cu Kα (weighted mean of Kα1 and Kα2)).

Structural model:
abc: 4.936 4.936 9.973
angles: 90.00 90.00 120.00
Fractional coordinates of all 9 atoms:
Mg 0.000 0.000 0.179
Mg 0.000 0.000 0.821
Mg 0.333 0.667 0.623
Mg 0.667 0.333 0.377
In 0.000 0.000 0.500
In 0.333 0.667 0.947
In 0.667 0.333 0.053
Hg 0.333 0.667 0.299
Hg 0.667 0.333 0.701

Peak list (8 most intense, 2θ from 10° to 90°, in order of rising 2θ)
| 2theta | I/Imax |
| --- | --- |
| 22.63 | 57.7 |
| 27.48 | 53.0 |
| 34.17 | 100.0 |
| 36.41 | 91.5 |
| 50.79 | 32.2 |
| 59.65 | 33.0 |
| 64.09 | 31.7 |
| 83.41 | 21.1 |

---

Record 2
For YRu2, a structure optimized by DFT (GGA-PBE) gives the calculated X-ray powder pattern in this record (Cu Kα (weighted mean of Kα1 and Kα2)).

Structural model:
abc: 5.263 5.263 8.991
angles: 90.00 90.00 120.00
Fractional coordinates of all 12 atoms:
Y 0.333 0.667 0.067
Y 0.333 0.667 0.433
Y 0.667 0.333 0.567
Y 0.667 0.333 0.933
Ru 0.000 0.000 0.000
Ru 0.000 0.000 0.500
Ru 0.170 0.341 0.750
Ru 0.170 0.830 0.750
Ru 0.341 0.170 0.250
Ru 0.659 0.830 0.750
Ru 0.830 0.170 0.250
Ru 0.830 0.659 0.250

Peak list (8 most intense, 2θ from 10° to 90°, in order of rising 2θ)
| 2theta | I/Imax |
| --- | --- |
| 34.07 | 23.8 |
| 35.86 | 74.1 |
| 39.69 | 100.0 |
| 40.85 | 94.9 |
| 44.57 | 26.1 |
| 62.15 | 25.3 |
| 66.20 | 32.3 |
| 71.73 | 27.4 |